# Dy7Co6Sn23
Computed powder diffraction line list, λ = 1.5418 Å (Cu Kα). Input: DFT lattice parameters and positions (GGA-PBE).
Lines closer than 0.1° are merged.

Cell: 9.7230 9.7230 9.9708 Å, 90.00 90.00 120.00°
Space group P-3m1 (No. 164)
Symmetry-distinct sites (fractional):
1 Dy 0.0000 0.0000 0.0000 (multiplicity 1)
2 Dy 0.0421 0.5210 0.3058 (multiplicity 6)
3 Co 0.1675 0.3351 0.8022 (multiplicity 6)
4 Sn 0.0000 0.0000 0.5000 (multiplicity 1)
5 Sn 0.0000 0.3461 0.0000 (multiplicity 6)
6 Sn 0.1179 0.2358 0.2753 (multiplicity 6)
7 Sn 0.2190 0.4379 0.5470 (multiplicity 6)
8 Sn 0.3333 0.6667 0.1167 (multiplicity 2)
9 Sn 0.3333 0.6667 0.8181 (multiplicity 2)

Top 6 peaks for 5° ≤ 2θ ≤ 70°, most intense first:
2θ (°), I_rel
33.2, 100.0
33.4, 64.9
34.4, 52.3
36.7, 46.1
37.0, 28.5
60.6, 23.4

=====

# BeNi3
Computed powder diffraction line list, λ = 1.5418 Å (Cu Kα). Input: DFT lattice parameters and positions (GGA-PBE).
Lines closer than 0.1° are merged.

Cell: 3.4189 3.4189 3.4189 Å, 90.00 90.00 90.00°
Space group Pm-3m (No. 221)
Symmetry-distinct sites (fractional):
1 Be 0.0000 0.0000 0.0000 (multiplicity 1)
2 Ni 0.0000 0.5000 0.5000 (multiplicity 3)

Top 6 peaks for 5° ≤ 2θ ≤ 70°, most intense first:
2θ (°), I_rel
46.0, 100.0
53.6, 46.1
26.1, 30.9
37.2, 24.3
60.6, 10.7
67.1, 7.6